The following is a theoretical powder diffraction line list of VPt2. It was derived from a crystal structure in Alexandria, relaxed with GGA-PBE, using CuKα.
No peak broadening, texture or thermal motion is included.

Crystal structure
```
VPt2
1.0
-1.370 1.916 4.208
1.370 -1.916 4.208
1.370 1.916 -4.208
V Pt
1 2
Direct
0.000 0.000 0.000
0.339 0.339 0.000
0.661 0.661 0.000
```

Largest 10 diffraction maxima, low angle first, 2θ from 10° to 90°:
| d [Å] | I/Imax |
| --- | --- |
| 4.208 | 17 |
| 3.488 | 40 |
| 2.605 | 19 |
| 2.264 | 100 |
| 2.229 | 97 |
| 1.960 | 65 |
| 1.916 | 31 |
| 1.370 | 51 |
| 1.187 | 25 |
| 1.172 | 25 |



The following is a theoretical powder diffraction line list of V2PtW. It was derived from a crystal structure in Alexandria, relaxed with GGA-PBE, using CuKα.
No peak broadening, texture or thermal motion is included.

Crystal structure
```
V2PtW
1.0
3.126 0.000 0.000
0.000 3.126 0.000
0.000 0.000 6.014
V Pt W
2 1 1
Direct
0.000 0.000 0.238
0.000 0.000 0.762
0.500 0.500 0.500
0.500 0.500 0.000
```

Largest 10 diffraction maxima, low angle first, 2θ from 10° to 90°:
| d [Å] | I/Imax |
| --- | --- |
| 3.126 | 45 |
| 3.007 | 21 |
| 2.211 | 53 |
| 2.167 | 100 |
| 1.781 | 19 |
| 1.563 | 18 |
| 1.398 | 9 |
| 1.387 | 9 |
| 1.268 | 35 |
| 1.243 | 16 |



The following is a theoretical powder diffraction line list of V2ZnPt. It was derived from a crystal structure in Alexandria, relaxed with GGA-PBE, using CuKα.
No peak broadening, texture or thermal motion is included.

Crystal structure
```
V2ZnPt
1.0
3.681 0.000 0.000
0.000 3.681 0.000
0.000 0.000 4.124
V Zn Pt
2 1 1
Direct
0.000 0.500 0.000
0.500 0.000 0.000
0.000 0.000 0.500
0.500 0.500 0.500
```

Largest 10 diffraction maxima, low angle first, 2θ from 10° to 90°:
| d [Å] | I/Imax |
| --- | --- |
| 4.124 | 25 |
| 3.681 | 21 |
| 2.746 | 20 |
| 2.603 | 16 |
| 2.201 | 100 |
| 2.062 | 20 |
| 1.841 | 29 |
| 1.373 | 22 |
| 1.216 | 14 |
| 1.120 | 22 |



The following is a theoretical powder diffraction line list of ZrV3Pt. It was derived from a crystal structure in Alexandria, relaxed with GGA-PBE, using CuKα.
No peak broadening, texture or thermal motion is included.

Crystal structure
```
ZrV3Pt
1.0
4.664 0.000 0.000
0.000 4.664 0.000
0.000 0.000 4.664
Zr V Pt
1 3 1
Direct
0.000 0.000 0.000
0.000 0.500 0.500
0.500 0.000 0.500
0.500 0.500 0.000
0.500 0.500 0.500
```

Largest 10 diffraction maxima, low angle first, 2θ from 10° to 90°:
| d [Å] | I/Imax |
| --- | --- |
| 4.664 | 46 |
| 3.298 | 100 |
| 2.332 | 67 |
| 2.086 | 23 |
| 1.904 | 44 |
| 1.649 | 45 |
| 1.475 | 19 |
| 1.346 | 15 |
| 1.246 | 22 |
| 1.099 | 12 |



The following is a theoretical powder diffraction line list of PtW3. It was derived from a crystal structure in Alexandria, relaxed with GGA-PBE, using CuKα.
No peak broadening, texture or thermal motion is included.

Crystal structure
```
PtW3
1.0
2.720 0.000 0.000
0.000 2.720 0.000
0.000 0.000 8.680
Pt W
1 3
Direct
0.000 0.000 0.000
0.000 0.000 0.500
0.500 0.500 0.241
0.500 0.500 0.759
```

Largest 10 diffraction maxima, low angle first, 2θ from 10° to 90°:
| d [Å] | I/Imax |
| --- | --- |
| 8.680 | 1 |
| 2.305 | 100 |
| 2.170 | 21 |
| 1.982 | 1 |
| 1.923 | 30 |
| 1.439 | 23 |
| 1.360 | 10 |
| 1.277 | 15 |
| 1.171 | 24 |
| 1.152 | 11 |



The following is a theoretical powder diffraction line list of Pt3W. It was derived from a crystal structure in Alexandria, relaxed with GGA-PBE, using CuKα.
No peak broadening, texture or thermal motion is included.

Crystal structure
```
Pt3W
1.0
4.666 -1.394 0.000
4.666 1.394 0.000
-0.839 0.000 4.796
Pt W
3 1
Direct
0.000 0.000 0.000
0.246 0.246 0.742
0.754 0.754 0.258
0.500 0.500 0.500
```

Largest 10 diffraction maxima, low angle first, 2θ from 10° to 90°:
| d [Å] | I/Imax |
| --- | --- |
| 2.296 | 100 |
| 2.284 | 98 |
| 1.990 | 33 |
| 1.980 | 65 |
| 1.405 | 32 |
| 1.403 | 21 |
| 1.198 | 19 |
| 1.197 | 26 |
| 1.192 | 26 |
| 1.142 | 11 |



The following is a theoretical powder diffraction line list of Pt3W5. It was derived from a crystal structure in Alexandria, relaxed with GGA-PBE, using CuKα.
No peak broadening, texture or thermal motion is included.

Crystal structure
```
Pt3W5
1.0
3.941 -4.065 0.000
3.941 4.065 0.000
0.000 0.000 3.929
Pt W
3 5
Direct
0.000 0.000 0.000
0.246 0.246 0.500
0.754 0.754 0.500
0.000 0.500 0.000
0.250 0.750 0.500
0.500 0.000 0.000
0.500 0.500 0.000
0.750 0.250 0.500
```

Largest 10 diffraction maxima, low angle first, 2θ from 10° to 90°:
| d [Å] | I/Imax |
| --- | --- |
| 2.296 | 100 |
| 2.033 | 18 |
| 1.970 | 16 |
| 1.965 | 16 |
| 1.415 | 11 |
| 1.413 | 11 |
| 1.218 | 14 |
| 1.191 | 13 |
| 1.189 | 13 |
| 1.148 | 11 |



The following is a theoretical powder diffraction line list of Pt3W. It was derived from a crystal structure in Alexandria, relaxed with GGA-PBE, using CuKα.
No peak broadening, texture or thermal motion is included.

Crystal structure
```
Pt3W
1.0
-1.958 1.958 4.055
1.958 -1.958 4.055
1.958 1.958 -4.055
Pt W
3 1
Direct
0.000 0.000 0.000
0.250 0.750 0.500
0.750 0.250 0.500
0.500 0.500 0.000
```

Largest 8 diffraction maxima, low angle first, 2θ from 10° to 90°:
| d [Å] | I/Imax |
| --- | --- |
| 2.287 | 100 |
| 2.027 | 18 |
| 1.958 | 32 |
| 1.408 | 22 |
| 1.384 | 10 |
| 1.215 | 14 |
| 1.184 | 25 |
| 1.143 | 12 |



The following is a theoretical powder diffraction line list of Pt3W2. It was derived from a crystal structure in Alexandria, relaxed with GGA-PBE, using CuKα.
No peak broadening, texture or thermal motion is included.

Crystal structure
```
Pt3W2
1.0
1.402 0.809 11.537
-1.402 0.809 11.537
0.000 -1.619 11.537
Pt W
3 2
Direct
0.000 0.000 0.000
0.202 0.202 0.202
0.798 0.798 0.798
0.400 0.400 0.400
0.600 0.600 0.600
```

Largest 10 diffraction maxima, low angle first, 2θ from 10° to 90°:
| d [Å] | I/Imax |
| --- | --- |
| 2.307 | 34 |
| 2.291 | 100 |
| 1.988 | 66 |
| 1.409 | 22 |
| 1.402 | 22 |
| 1.203 | 13 |
| 1.198 | 26 |
| 1.196 | 13 |
| 1.154 | 4 |
| 1.146 | 11 |



The following is a theoretical powder diffraction line list of Pt7W3. It was derived from a crystal structure in Alexandria, relaxed with GGA-PBE, using CuKα.
No peak broadening, texture or thermal motion is included.

Crystal structure
```
Pt7W3
1.0
4.029 -6.948 0.000
4.029 6.948 0.000
0.000 0.000 6.217
Pt W
14 6
Direct
0.041 0.959 0.500
0.048 0.588 0.525
0.145 0.855 0.854
0.278 0.394 0.036
0.392 0.608 0.519
0.394 0.278 0.536
0.412 0.952 0.525
0.588 0.048 0.025
0.606 0.722 0.036
0.608 0.392 0.019
0.722 0.606 0.536
0.855 0.145 0.354
0.952 0.412 0.025
0.959 0.041 0.000
0.085 0.300 0.672
0.280 0.720 0.170
0.300 0.085 0.172
0.700 0.915 0.672
0.720 0.280 0.670
0.915 0.700 0.172
```

Largest 10 diffraction maxima, low angle first, 2θ from 10° to 90°:
| d [Å] | I/Imax |
| --- | --- |
| 3.108 | 36 |
| 3.038 | 38 |
| 2.321 | 29 |
| 2.316 | 18 |
| 2.176 | 100 |
| 2.170 | 49 |
| 2.008 | 34 |
| 1.986 | 32 |
| 1.338 | 32 |
| 1.264 | 17 |



The following is a theoretical powder diffraction line list of Zn2Pt3W. It was derived from a crystal structure in Alexandria, relaxed with GGA-PBE, using CuKα.
No peak broadening, texture or thermal motion is included.

Crystal structure
```
Zn2Pt3W
1.0
2.820 0.000 0.000
0.000 2.820 0.000
0.000 0.000 11.309
Zn Pt W
2 3 1
Direct
0.000 0.000 0.160
0.000 0.000 0.840
0.500 0.500 0.000
0.500 0.500 0.329
0.500 0.500 0.671
0.000 0.000 0.500
```

Largest 10 diffraction maxima, low angle first, 2θ from 10° to 90°:
| d [Å] | I/Imax |
| --- | --- |
| 3.770 | 7 |
| 2.821 | 8 |
| 2.258 | 100 |
| 1.994 | 35 |
| 1.885 | 14 |
| 1.410 | 11 |
| 1.370 | 20 |
| 1.196 | 27 |
| 1.148 | 11 |
| 1.129 | 11 |



The following is a theoretical powder diffraction line list of Zn2Pt2W. It was derived from a crystal structure in Alexandria, relaxed with GGA-PBE, using CuKα.
No peak broadening, texture or thermal motion is included.

Crystal structure
```
Zn2Pt2W
1.0
7.353 0.000 0.000
0.000 7.353 0.000
0.000 0.000 2.783
Zn Pt W
4 4 2
Direct
0.121 0.379 0.000
0.379 0.879 0.000
0.621 0.121 0.000
0.879 0.621 0.000
0.178 0.678 0.500
0.322 0.178 0.500
0.678 0.822 0.500
0.822 0.322 0.500
0.000 0.000 0.000
0.500 0.500 0.000
```

Largest 10 diffraction maxima, low angle first, 2θ from 10° to 90°:
| d [Å] | I/Imax |
| --- | --- |
| 3.288 | 36 |
| 2.600 | 35 |
| 2.325 | 81 |
| 2.219 | 75 |
| 2.124 | 100 |
| 1.783 | 29 |
| 1.501 | 26 |
| 1.471 | 28 |
| 1.280 | 27 |
| 1.226 | 25 |